This entry pairs a crystal structure of ErPa4P6 with its calculated powder diffraction line list. Radiation: Cu Kα X-rays. Structure: a DFT-relaxed cell (GGA-PBE, Alexandria).
No peak broadening, texture or thermal motion is included.

Cell and atoms:
Lattice parameters (Å, degrees): 10.8911 10.8911 13.5527 90.00 90.00 120.00
Space group R-3c (No. 167, hexagonal axes)
One atom of each set of equivalent atoms:
Er 0.0000 0.0000 0.0000 [6 per cell]
Pa 0.0000 0.0000 0.2500 [6 per cell]
Pa 0.0000 0.3850 0.2500 [18 per cell]
P 0.0295 0.2097 0.3847 [36 per cell]

Top 12 peaks for 5° ≤ 2θ ≤ 70°, by angle:
2theta  intensity  hkl
23.0  23  2 0 2
25.6  81  1 1 3
28.4  100  3 0 0
32.5  51  0 2 4
34.9  39  1 3 1
36.6  33  2 1 4
38.6  33  2 2 3
43.9  24  2 3 2
49.7  18  3 0 6
50.0  37  3 2 4
50.2  23  5 0 2
55.8  19  0 5 4

***

This entry pairs a crystal structure of Ce2H2S with its calculated powder diffraction line list. Radiation: Cu Kα X-rays. Structure: a DFT-relaxed cell (GGA-PBE, Alexandria).
No peak broadening, texture or thermal motion is included.

Cell and atoms:
Lattice parameters (Å, degrees): 8.2320 8.2728 9.7669 90.00 90.00 90.00
Space group Fddd (No. 70, origin choice 2)
One atom of each set of equivalent atoms:
Ce 0.1250 0.1250 0.3408 [16 per cell]
H 0.1250 0.2553 0.1250 [16 per cell]
S 0.1250 0.1250 0.6250 [8 per cell]

Top 12 peaks for 5° ≤ 2θ ≤ 70°, by angle:
2theta  intensity  hkl
28.3  100  0 2 2
30.6  84  2 2 0
31.5  32  1 1 3
36.8  12  0 0 4
43.8  15  0 4 0
44.0  16  4 0 0
44.4  12  1 3 3
44.6  12  3 1 3
48.6  22  2 2 4
53.0  19  2 4 2
53.1  18  4 2 2
59.1  12  3 1 5

***

This entry pairs a crystal structure of La2Pm5Pr2 with its calculated powder diffraction line list. Radiation: Cu Kα X-rays. Structure: a DFT-relaxed cell (GGA-PBE, Alexandria).
No peak broadening, texture or thermal motion is included.

Cell and atoms:
Lattice parameters (Å, degrees): 18.0873 3.5596 10.1121 90.00 98.53 90.00
Space group C2/m (No. 12)
One atom of each set of equivalent atoms:
La 0.1635 0.0000 0.2230 [4 per cell]
Pm 0.0000 0.0000 0.0000 [2 per cell]
Pm 0.1700 0.5000 0.5395 [4 per cell]
Pm 0.1741 0.0000 0.8690 [4 per cell]
Pr 0.0045 0.5000 0.6873 [4 per cell]

Top 12 peaks for 5° ≤ 2θ ≤ 70°, by angle:
2theta  intensity  hkl
26.8  32  1 1 -1
27.3  12  1 1 1
30.0  100  6 0 0
31.0  41  4 0 -3
33.2  40  3 1 -2
35.6  28  3 1 2
37.7  16  5 1 1
52.0  16  1 1 -5
53.6  12  9 1 -2
54.5  14  10 0 -3
60.6  26  6 2 0
61.2  12  4 2 -3

***

This entry pairs a crystal structure of AcNpAs4 with its calculated powder diffraction line list. Radiation: Cu Kα X-rays. Structure: a DFT-relaxed cell (GGA-PBE, Alexandria).
No peak broadening, texture or thermal motion is included.

Cell and atoms:
Lattice parameters (Å, degrees): 8.2086 8.2086 8.2086 90.00 90.00 90.00
Space group F-43m (No. 216)
One atom of each set of equivalent atoms:
Ac 0.0000 0.0000 0.0000 [4 per cell]
Np 0.2500 0.2500 0.7500 [4 per cell]
As 0.1233 0.1233 0.3767 [16 per cell]

Top 10 peaks for 5° ≤ 2θ ≤ 70°, by angle:
2theta  intensity  hkl
18.7  19  1 1 1
30.8  70  2 2 0
36.3  100  3 1 1
38.0  13  2 2 2
44.1  1  4 0 0
48.3  6  3 3 1
54.8  29  4 2 2
58.4  34  3 3 3
64.2  25  4 4 0
67.5  4  5 3 1

***

This entry pairs a crystal structure of PuHf2Pa6 with its calculated powder diffraction line list. Radiation: Cu Kα X-rays. Structure: a DFT-relaxed cell (GGA-PBE, Alexandria).
No peak broadening, texture or thermal motion is included.

Cell and atoms:
Lattice parameters (Å, degrees): 5.5395 15.9837 5.5848 90.00 119.04 90.00
Space group C2/m (No. 12)
One atom of each set of equivalent atoms:
Pu 0.0000 0.0000 0.0000 [2 per cell]
Hf 0.0000 0.1678 0.5000 [4 per cell]
Pa 0.1625 0.5000 0.3330 [4 per cell]
Pa 0.1724 0.3350 0.8357 [8 per cell]

Top 12 peaks for 5° ≤ 2θ ≤ 70°, by angle:
2theta  intensity  hkl
32.6  60  1 1 -2
33.6  60  0 6 0
34.3  51  2 2 -1
36.0  100  1 3 1
39.6  37  2 4 -1
43.0  27  1 5 -2
51.7  18  1 7 -2
57.4  12  3 1 0
57.8  12  0 2 3
60.5  23  3 3 -3
61.7  22  1 9 1
67.7  16  4 0 -2

***

This entry pairs a crystal structure of TbY7Tm3 with its calculated powder diffraction line list. Radiation: Cu Kα X-rays. Structure: a DFT-relaxed cell (GGA-PBE, Alexandria).
No peak broadening, texture or thermal motion is included.

Cell and atoms:
Lattice parameters (Å, degrees): 6.9155 5.5265 9.9282 90.00 109.77 90.00
Space group P2/m (No. 10)
One atom of each set of equivalent atoms:
Tb 0.0000 0.0000 0.0000 [1 per cell]
Y 0.0000 0.0000 0.5000 [1 per cell]
Y 0.1466 0.5000 0.7895 [2 per cell]
Y 0.3213 0.5000 0.1394 [2 per cell]
Y 0.4208 0.0000 0.3312 [2 per cell]
Tm 0.2773 0.5000 0.4978 [2 per cell]
Tm 0.5000 0.0000 0.0000 [1 per cell]

Top 12 peaks for 5° ≤ 2θ ≤ 70°, by angle:
2theta  intensity  hkl
18.7  29  0 1 1
19.0  30  0 0 2
31.8  21  1 1 -3
31.9  78  2 1 0
32.1  100  2 1 -2
32.4  91  0 2 0
33.0  77  0 1 3
46.2  20  2 2 1
46.5  21  2 2 -3
57.5  19  2 3 0
58.3  19  2 1 4
63.5  26  4 2 -2